# 1
Simulated powder X-ray diffraction pattern of LiHoGa2Ir4 for copper Kα, from a structure optimized by DFT (PBE).
Intensities are scaled so that the largest is 100.

Structure:
```
LiHoGa2Ir4
1.0
4.388 0.000 0.000
0.000 4.388 0.000
0.000 0.000 6.259
Li Ho Ga Ir
1 1 2 4
Cartesian
0.000 0.000 0.000
2.194 2.194 3.129
0.000 0.000 3.129
2.194 2.194 0.000
0.000 2.194 1.423
0.000 2.194 4.835
2.194 0.000 1.423
2.194 0.000 4.835
```

Peak list (10 most intense, 10 to 90 degrees two-theta, most intense first)
2θ 40.96, rel. 100.0
2θ 41.15, rel. 52.3
2θ 74.86, rel. 34.2
2θ 28.77, rel. 22.8
2θ 59.60, rel. 17.7
2θ 74.48, rel. 14.5
2θ 32.20, rel. 12.4
2θ 28.52, rel. 10.1
2θ 88.82, rel. 9.6
2θ 50.83, rel. 8.6

# 2
Simulated powder X-ray diffraction pattern of SmZrSi for copper Kα, from a structure optimized by DFT (PBE).
Intensities are scaled so that the largest is 100.

Structure:
```
SmZrSi
1.0
0.000 3.339 3.339
3.339 0.000 3.339
3.339 3.339 0.000
Sm Zr Si
1 1 1
Cartesian
0.000 0.000 0.000
3.339 3.339 3.339
1.670 1.670 1.670
```

Peak list (10 most intense, 10 to 90 degrees two-theta, most intense first)
2θ 38.11, rel. 100.0
2θ 26.70, rel. 80.0
2θ 68.88, rel. 34.4
2θ 62.16, rel. 29.5
2θ 47.14, rel. 22.7
2θ 55.00, rel. 17.0
2θ 87.67, rel. 14.4
2θ 23.07, rel. 13.1
2θ 81.54, rel. 10.8
2θ 45.02, rel. 6.9

# 3
Simulated powder X-ray diffraction pattern of NaAg3SnTe4 for copper Kα, from a structure optimized by DFT (PBE).
Intensities are scaled so that the largest is 100.

Structure:
```
NaAg3SnTe4
1.0
6.474 0.000 0.000
0.000 8.460 0.000
-2.101 0.000 10.088
Na Ag Sn Te
2 6 2 8
Cartesian
1.168 2.115 0.587
3.205 6.345 9.501
0.304 0.480 5.300
0.304 3.750 5.300
0.465 2.115 7.726
3.908 6.345 2.362
4.069 4.709 4.788
4.069 7.980 4.788
0.960 6.345 2.819
3.413 2.115 7.269
-1.319 4.354 7.524
-1.319 8.336 7.524
2.149 6.345 0.227
1.940 6.345 5.572
2.433 2.115 4.515
2.224 2.115 9.861
5.692 0.124 2.564
5.692 4.106 2.564
```

Peak list (10 most intense, 10 to 90 degrees two-theta, most intense first)
2θ 25.31, rel. 100.0
2θ 35.58, rel. 69.3
2θ 37.93, rel. 62.8
2θ 13.66, rel. 61.0
2θ 42.42, rel. 42.6
2θ 36.98, rel. 40.7
2θ 31.93, rel. 37.9
2θ 33.02, rel. 32.4
2θ 40.92, rel. 31.1
2θ 24.70, rel. 31.0

# 4
Simulated powder X-ray diffraction pattern of Cu5Ag4 for copper Kα, from a structure optimized by DFT (PBE).
Intensities are scaled so that the largest is 100.

Structure:
```
Cu5Ag4
1.0
7.025 -1.389 0.000
7.025 1.389 0.000
-0.234 0.000 6.688
Cu Ag
5 4
Cartesian
0.000 0.000 0.000
3.017 0.000 2.309
6.072 0.000 4.524
7.743 0.000 2.164
10.798 0.000 4.379
1.366 0.000 4.382
4.494 0.000 6.609
9.321 0.000 0.079
12.449 0.000 2.307
```

Peak list (10 most intense, 10 to 90 degrees two-theta, most intense first)
2θ 40.34, rel. 100.0
2θ 46.31, rel. 43.4
2θ 40.46, rel. 31.9
2θ 48.24, rel. 19.1
2θ 81.64, rel. 15.0
2θ 81.86, rel. 13.8
2θ 69.04, rel. 12.2
2θ 69.15, rel. 11.5
2θ 84.57, rel. 10.1
2θ 67.42, rel. 6.7

# 5
Simulated powder X-ray diffraction pattern of K14Tl21Cd9 for copper Kα, from a structure optimized by DFT (PBE).
Intensities are scaled so that the largest is 100.

Structure:
```
K14Tl21Cd9
1.0
10.142 0.000 0.000
-5.071 8.784 0.000
0.000 0.000 17.401
K Tl Cd
14 21 9
Cartesian
-1.961 3.397 3.209
-1.961 3.397 14.191
-3.804 6.588 5.621
-3.804 6.588 11.780
1.267 2.195 5.621
1.267 2.195 11.780
0.000 5.856 0.000
3.923 0.000 3.209
3.923 0.000 14.191
3.110 5.386 3.209
3.110 5.386 14.191
5.071 2.928 0.000
7.608 0.000 5.621
7.608 0.000 11.780
0.000 0.000 2.671
0.000 0.000 14.730
-1.123 1.945 0.000
-2.026 3.510 6.789
-2.026 3.510 10.612
-3.569 6.181 1.651
-3.569 6.181 15.750
2.246 0.000 0.000
1.503 2.603 1.651
1.503 2.603 15.750
0.000 5.856 5.799
0.000 5.856 11.602
4.053 0.000 6.789
4.053 0.000 10.612
3.045 5.274 6.789
3.045 5.274 10.612
5.071 2.928 5.799
5.071 2.928 11.602
7.137 0.000 1.651
7.137 0.000 15.750
3.948 6.839 0.000
-0.834 1.445 8.700
1.669 0.000 8.700
-1.796 6.156 8.700
0.638 4.150 8.700
3.275 2.628 8.700
1.158 7.261 8.700
6.229 1.522 8.700
5.710 4.633 8.700
4.237 7.339 8.700
```

Peak list (10 most intense, 10 to 90 degrees two-theta, most intense first)
2θ 11.28, rel. 100.0
2θ 31.17, rel. 80.5
2θ 10.16, rel. 67.3
2θ 33.97, rel. 53.5
2θ 30.53, rel. 52.1
2θ 31.03, rel. 47.8
2θ 37.01, rel. 43.5
2θ 18.22, rel. 41.4
2θ 36.91, rel. 41.4
2θ 35.66, rel. 33.5

# 6
Simulated powder X-ray diffraction pattern of Ba6NaCu3Te14 for copper Kα, from a structure optimized by DFT (PBE).
Intensities are scaled so that the largest is 100.

Structure:
```
Ba6NaCu3Te14
1.0
14.306 0.000 0.000
-7.153 12.390 0.000
0.000 0.000 9.104
Ba Na Cu Te
12 2 6 28
Cartesian
-0.258 5.594 2.276
-2.437 9.369 6.828
0.258 5.594 6.828
-2.180 9.816 2.276
4.974 2.574 2.276
4.716 3.020 6.828
2.437 9.369 2.276
2.180 9.816 6.828
9.333 2.574 6.828
6.895 6.795 2.276
9.591 3.020 2.276
7.411 6.795 6.828
0.000 0.000 0.000
0.000 0.000 4.552
-1.377 2.385 6.828
-5.776 10.005 2.276
2.754 0.000 6.828
1.377 2.385 2.276
11.553 0.000 2.276
5.776 10.005 6.828
-1.231 2.132 2.276
-2.281 3.950 4.793
-2.281 3.950 8.863
-3.350 5.803 6.828
-3.803 6.587 2.276
-4.872 8.439 0.241
-4.872 8.439 4.311
-5.922 10.258 6.828
2.462 0.000 2.276
1.231 2.132 6.828
4.561 0.000 4.793
4.561 0.000 8.863
2.281 3.950 0.241
2.281 3.950 4.311
0.000 8.260 0.000
0.000 8.260 4.552
6.701 0.000 6.828
3.350 5.803 2.276
7.605 0.000 2.276
3.803 6.587 6.828
7.153 4.130 0.000
7.153 4.130 4.552
9.745 0.000 0.241
9.745 0.000 4.311
4.872 8.439 4.793
4.872 8.439 8.863
11.844 0.000 6.828
5.922 10.258 2.276
```

Peak list (10 most intense, 10 to 90 degrees two-theta, most intense first)
2θ 29.20, rel. 100.0
2θ 39.60, rel. 21.6
2θ 28.82, rel. 18.9
2θ 32.65, rel. 17.8
2θ 25.93, rel. 17.0
2θ 35.04, rel. 16.8
2θ 37.73, rel. 16.2
2θ 41.49, rel. 15.7
2θ 62.95, rel. 15.5
2θ 43.84, rel. 11.8

# 7
Simulated powder X-ray diffraction pattern of LaPr2Cu2B2N3 for copper Kα, from a structure optimized by DFT (PBE).
Intensities are scaled so that the largest is 100.

Structure:
```
LaPr2Cu2B2N3
1.0
-1.841 1.841 10.505
1.841 -1.841 10.505
1.841 1.841 -10.505
La Pr Cu B N
1 2 2 2 3
Cartesian
0.000 0.000 0.000
0.000 0.000 7.881
0.000 0.000 13.129
1.841 0.000 5.252
0.000 1.841 5.252
0.000 0.000 3.942
0.000 0.000 17.068
0.000 0.000 2.514
0.000 0.000 10.505
0.000 0.000 18.496
```

Peak list (10 most intense, 10 to 90 degrees two-theta, most intense first)
2θ 27.37, rel. 100.0
2θ 32.33, rel. 79.0
2θ 34.14, rel. 58.0
2θ 35.53, rel. 48.0
2θ 49.53, rel. 43.5
2θ 38.60, rel. 43.3
2θ 61.53, rel. 40.1
2θ 34.46, rel. 38.0
2θ 43.31, rel. 29.7
2θ 57.51, rel. 27.4

# 8
Simulated powder X-ray diffraction pattern of Y4CdC2S for copper Kα, from a structure optimized by DFT (PBE).
Intensities are scaled so that the largest is 100.

Structure:
```
Y4CdC2S
1.0
3.670 0.000 0.000
-1.835 3.179 0.000
0.000 0.000 14.458
Y Cd C S
4 1 2 1
Cartesian
0.000 0.000 1.887
0.000 0.000 12.571
0.000 2.119 4.573
0.000 2.119 9.885
0.000 0.000 7.229
1.835 1.060 3.272
1.835 1.060 11.187
0.000 2.119 0.000
```

Peak list (10 most intense, 10 to 90 degrees two-theta, most intense first)
2θ 33.78, rel. 100.0
2θ 28.07, rel. 30.4
2θ 49.68, rel. 28.3
2θ 30.73, rel. 22.7
2θ 58.77, rel. 17.8
2θ 61.43, rel. 16.7
2θ 30.92, rel. 14.3
2θ 82.80, rel. 14.0
2θ 42.25, rel. 13.6
2θ 59.67, rel. 12.9

# 9
Simulated powder X-ray diffraction pattern of InCuNiTeSe2 for copper Kα, from a structure optimized by DFT (PBE).
Intensities are scaled so that the largest is 100.

Structure:
```
InCuNiTeSe2
1.0
1.831 -7.099 0.000
1.831 7.099 0.000
0.000 0.000 9.852
In Cu Ni Te Se
2 2 2 2 4
Cartesian
1.831 4.066 7.389
1.831 -4.066 2.463
1.831 0.496 2.463
1.831 -0.496 7.389
0.000 0.000 0.000
0.000 0.000 4.926
1.831 5.795 2.463
1.831 -5.795 7.389
1.831 1.677 0.373
1.831 1.677 4.553
1.831 -1.677 5.300
1.831 -1.677 9.479
```

Peak list (10 most intense, 10 to 90 degrees two-theta, most intense first)
2θ 32.22, rel. 100.0
2θ 35.97, rel. 82.3
2θ 36.48, rel. 48.0
2θ 56.49, rel. 33.8
2θ 44.36, rel. 26.3
2θ 49.80, rel. 25.2
2θ 12.47, rel. 23.2
2θ 31.07, rel. 21.6
2θ 47.35, rel. 21.2
2θ 55.01, rel. 19.4

# 10
Simulated powder X-ray diffraction pattern of KRb2Ag3Bi2 for copper Kα, from a structure optimized by DFT (PBE).
Intensities are scaled so that the largest is 100.

Structure:
```
KRb2Ag3Bi2
1.0
3.235 1.868 7.795
-3.235 1.868 7.795
0.000 -3.736 7.795
K Rb Ag Bi
1 2 3 2
Cartesian
0.000 0.000 0.000
0.000 0.000 9.718
0.000 0.000 13.667
-3.235 0.000 11.693
-1.618 0.934 3.898
1.618 0.934 3.898
0.000 0.000 6.030
0.000 0.000 17.356
```

Peak list (10 most intense, 10 to 90 degrees two-theta, most intense first)
2θ 17.55, rel. 100.0
2θ 36.08, rel. 91.2
2θ 27.57, rel. 59.2
2θ 35.53, rel. 55.6
2θ 32.18, rel. 33.0
2θ 31.17, rel. 31.7
2θ 11.35, rel. 31.5
2θ 54.47, rel. 28.2
2θ 44.81, rel. 28.1
2θ 56.92, rel. 27.1

# 11
Simulated powder X-ray diffraction pattern of Zn36Ga5Ni8 for copper Kα, from a structure optimized by DFT (PBE).
Intensities are scaled so that the largest is 100.

Structure:
```
Zn36Ga5Ni8
1.0
8.847 0.000 0.000
0.000 8.847 0.000
0.000 0.000 8.847
Zn Ga Ni
36 5 8
Cartesian
0.000 0.000 2.766
0.000 0.000 6.081
0.000 2.766 0.000
0.000 6.081 0.000
0.489 2.598 2.598
0.489 6.249 6.249
1.222 4.424 4.424
1.583 1.583 4.766
1.583 4.081 7.264
1.583 4.766 1.583
1.583 7.264 4.081
2.598 0.489 2.598
2.598 2.598 0.489
2.598 6.249 8.358
2.598 8.358 6.249
2.766 0.000 0.000
4.081 1.583 7.264
4.081 7.264 1.583
4.424 1.222 4.424
4.424 4.424 1.222
4.424 4.424 7.625
4.424 7.625 4.424
4.766 1.583 1.583
4.766 7.264 7.264
6.081 0.000 0.000
6.249 0.489 6.249
6.249 2.598 8.358
6.249 6.249 0.489
6.249 8.358 2.598
7.264 1.583 4.081
7.264 4.081 1.583
7.264 4.766 7.264
7.264 7.264 4.766
7.625 4.424 4.424
8.358 2.598 6.249
8.358 6.249 2.598
0.000 0.000 0.000
3.397 3.397 5.450
3.397 5.450 3.397
5.450 3.397 3.397
5.450 5.450 5.450
1.552 1.552 7.295
1.552 7.295 1.552
2.970 2.970 2.970
2.970 5.877 5.877
5.877 2.970 5.877
5.877 5.877 2.970
7.295 1.552 1.552
7.295 7.295 7.295
```

Peak list (10 most intense, 10 to 90 degrees two-theta, most intense first)
2θ 43.39, rel. 100.0
2θ 79.63, rel. 13.8
2θ 42.11, rel. 11.1
2θ 63.04, rel. 8.0
2θ 33.60, rel. 6.1
2θ 38.06, rel. 5.0
2θ 48.25, rel. 4.4
2θ 74.27, rel. 4.3
2θ 72.46, rel. 4.0
2θ 67.83, rel. 4.0